Simulated XRD peak list
Compound: Li2NiP4O12
Radiation: copper Kα
Structure: DFT lattice parameters and positions (PBE+U)
Lines closer than 0.1° are merged.

Cell and atoms:
abc: 5.2614 7.0727 7.2054
angles: 108.03 94.34 107.28
Fractional positions:
Li1 0.1552 0.2234 0.0628
Li2 0.8448 0.7766 0.9372
Ni1 0.5000 0.5000 0.5000
P1 0.1748 0.7103 0.2933
P2 0.3624 0.9186 0.7272
P3 0.6376 0.0814 0.2728
P4 0.8252 0.2897 0.7067
O1 0.0728 0.3185 0.8392
O2 0.1656 0.8513 0.5165
O3 0.1960 0.9385 0.8853
O4 0.2302 0.5134 0.3033
O5 0.4478 0.8467 0.2438
O6 0.4701 0.2267 0.2960
O7 0.5299 0.7733 0.7040
O8 0.5522 0.1533 0.7562
O9 0.7698 0.4866 0.6967
O10 0.8040 0.0615 0.1147
O11 0.8344 0.1487 0.4835
O12 0.9272 0.6815 0.1608

Top 10 peaks for 2θ from 10° to 90°, by intensity:
- (1 1 -1), 25.54°, intensity 100
- (0 0 1), 13.15°, intensity 52
- (1 -2 0), 27.90°, intensity 51
- (1 -1 2), 31.26°, intensity 36
- (1 -1 0), 18.69°, intensity 28
- (0 0 2), 26.43°, intensity 26
- (1 0 -1), 20.24°, intensity 26
- (-1 1 2), 33.91°, intensity 23
- (0 1 1), 22.38°, intensity 21
- (1 0 0), 17.96°, intensity 17